No. 1
Starting from a PBE-relaxed structure, the powder XRD pattern of SmTm7Th2 was simulated for λ = 1.5418 Å (Cu Kα).
No peak broadening, texture or thermal motion is included.

Atomic structure:
abc: 8.3538 8.3538 5.4884
angles: 108.88 108.88 85.93
Fractional coordinates of all 10 atoms:
1 Sm 0.0000 0.0000 0.0000
2 Tm 0.1003 0.4046 0.2524
3 Tm 0.3347 0.6653 0.0000
4 Tm 0.4046 0.1003 0.2524
5 Tm 0.5000 0.5000 0.5000
6 Tm 0.5954 0.8997 0.7476
7 Tm 0.6653 0.3347 0.0000
8 Tm 0.8997 0.5954 0.7476
9 Th 0.1551 0.8449 0.5000
10 Th 0.8449 0.1551 0.5000

Largest 10 diffraction maxima, by intensity, 2θ = 15–90°:
2theta	intensity
32.65	1000
32.96	937
33.08	928
59.20	323
46.66	187
58.36	187
58.41	186
58.60	185
47.03	184
58.64	183

No. 2
Starting from a PBE-relaxed structure, the powder XRD pattern of Sm4SiHSe2 was simulated for λ = 1.5418 Å (Cu Kα).
No peak broadening, texture or thermal motion is included.

Atomic structure:
abc: 6.9722 4.1272 7.1782
angles: 90.00 108.86 90.00
Fractional coordinates of all 8 atoms:
1 Sm 0.2480 0.0000 0.2555
2 Sm 0.2486 0.5000 0.7348
3 Sm 0.7514 0.5000 0.2652
4 Sm 0.7520 0.0000 0.7445
5 Si 0.0000 0.0000 0.5000
6 H 0.5000 0.5000 0.5000
7 Se 0.0000 0.5000 0.0000
8 Se 0.5000 0.0000 0.0000

Largest 10 diffraction maxima, by intensity, 2θ = 15–90°:
2theta	intensity
30.68	1000
31.09	478
26.58	382
43.74	365
44.75	352
26.24	192
54.75	192
43.87	187
27.03	184
44.02	182

No. 3
Starting from a PBE-relaxed structure, the powder XRD pattern of Pr5Sm5Sc was simulated for λ = 1.5418 Å (Cu Kα).
No peak broadening, texture or thermal motion is included.

Atomic structure:
abc: 10.0548 10.0548 7.0556
angles: 110.47 110.47 35.21
Fractional coordinates of all 11 atoms:
1 Pr 0.0000 0.0000 0.0000
2 Pr 0.3273 0.3273 0.0698
3 Pr 0.3273 0.3273 0.5843
4 Pr 0.6727 0.6727 0.4157
5 Pr 0.6727 0.6727 0.9302
6 Sm 0.1250 0.1250 0.6257
7 Sm 0.1705 0.1705 0.1711
8 Sm 0.5000 0.5000 0.5000
9 Sm 0.8295 0.8295 0.8289
10 Sm 0.8750 0.8750 0.3743
11 Sc 0.5000 0.5000 0.0000

Largest 10 diffraction maxima, by intensity, 2θ = 15–90°:
2theta	intensity
33.00	1000
29.37	607
30.07	355
29.70	334
42.53	276
54.43	240
27.85	228
51.82	208
35.96	168
27.19	160

No. 4
Starting from a PBE-relaxed structure, the powder XRD pattern of CaPm2HoTl4 was simulated for λ = 1.5418 Å (Cu Kα).
No peak broadening, texture or thermal motion is included.

Atomic structure:
abc: 9.4701 9.4701 9.4701
angles: 33.42 33.42 33.42
Fractional coordinates of all 8 atoms:
1 Ca 0.0000 0.0000 0.0000
2 Pm 0.2534 0.2534 0.2534
3 Pm 0.7466 0.7466 0.7466
4 Ho 0.5000 0.5000 0.5000
5 Tl 0.1273 0.1273 0.1273
6 Tl 0.3778 0.3778 0.3778
7 Tl 0.6222 0.6222 0.6222
8 Tl 0.8727 0.8727 0.8727

Largest 10 diffraction maxima, by intensity, 2θ = 15–90°:
2theta	intensity
32.84	1000
58.68	288
47.13	183
58.48	92
78.49	83
78.33	79
23.06	62
68.97	60
68.74	57
87.75	32

No. 5
Starting from a PBE-relaxed structure, the powder XRD pattern of Dy7In2Ga2 was simulated for λ = 1.5418 Å (Cu Kα).
No peak broadening, texture or thermal motion is included.

Atomic structure:
abc: 6.8315 6.8315 7.3609
angles: 90.00 90.00 108.97
Fractional coordinates of all 11 atoms:
1 Dy 0.0000 0.0000 0.0000
2 Dy 0.0000 0.5000 0.2747
3 Dy 0.0000 0.5000 0.7253
4 Dy 0.5000 0.0000 0.2747
5 Dy 0.5000 0.0000 0.7253
6 Dy 0.5000 0.5000 0.2470
7 Dy 0.5000 0.5000 0.7530
8 In 0.1782 0.1782 0.5000
9 In 0.8218 0.8218 0.5000
10 Ga 0.2890 0.7110 0.0000
11 Ga 0.7110 0.2890 0.0000

Largest 10 diffraction maxima, by intensity, 2θ = 15–90°:
2theta	intensity
37.03	1000
27.62	636
32.20	620
27.90	520
36.21	407
25.50	340
29.10	240
49.54	185
45.73	182
60.31	172

No. 6
Starting from a PBE-relaxed structure, the powder XRD pattern of MnZn2Pb was simulated for λ = 1.5418 Å (Cu Kα).
No peak broadening, texture or thermal motion is included.

Atomic structure:
abc: 3.1480 3.1466 7.6986
angles: 90.00 90.48 90.00
Fractional coordinates of all 4 atoms:
1 Mn 0.0000 0.0000 0.0000
2 Zn 0.4959 0.5000 0.8134
3 Zn 0.5041 0.5000 0.1866
4 Pb 0.0000 0.0000 0.5000

Largest 10 diffraction maxima, by intensity, 2θ = 15–90°:
2theta	intensity
36.90	1000
40.54	963
30.72	763
37.04	502
36.73	499
34.97	353
23.11	322
58.67	318
71.50	287
30.59	269

No. 7
Starting from a PBE-relaxed structure, the powder XRD pattern of CaAl10Pd2 was simulated for λ = 1.5418 Å (Cu Kα).
No peak broadening, texture or thermal motion is included.

Atomic structure:
abc: 6.8955 6.8955 9.4224
angles: 90.00 90.00 97.04
Fractional coordinates of all 26 atoms:
1 Ca 0.1245 0.8755 0.7500
2 Ca 0.8755 0.1245 0.2500
3 Al 0.1388 0.3996 0.7500
4 Al 0.1575 0.8425 0.1044
5 Al 0.1575 0.8425 0.3956
6 Al 0.2195 0.2195 0.0000
7 Al 0.2195 0.2195 0.5000
8 Al 0.2337 0.4769 0.2500
9 Al 0.3847 0.6153 0.5602
10 Al 0.3847 0.6153 0.9398
11 Al 0.3996 0.1388 0.2500
12 Al 0.4769 0.2337 0.7500
13 Al 0.5231 0.7663 0.2500
14 Al 0.6004 0.8612 0.7500
15 Al 0.6153 0.3847 0.0602
16 Al 0.6153 0.3847 0.4398
17 Al 0.7663 0.5231 0.7500
18 Al 0.7805 0.7805 0.0000
19 Al 0.7805 0.7805 0.5000
20 Al 0.8425 0.1575 0.6044
21 Al 0.8425 0.1575 0.8956
22 Al 0.8612 0.6004 0.2500
23 Pd 0.0000 0.5000 0.0000
24 Pd 0.0000 0.5000 0.5000
25 Pd 0.5000 0.0000 0.0000
26 Pd 0.5000 0.0000 0.5000

Largest 10 diffraction maxima, by intensity, 2θ = 15–90°:
2theta	intensity
44.66	1000
39.80	848
17.16	823
40.11	669
19.43	649
18.84	629
27.19	621
39.47	619
32.34	575
43.21	540

No. 8
Starting from a PBE-relaxed structure, the powder XRD pattern of Pa2Al9Zn was simulated for λ = 1.5418 Å (Cu Kα).
No peak broadening, texture or thermal motion is included.

Atomic structure:
abc: 4.2562 4.2562 12.4544
angles: 90.00 90.00 90.00
Fractional coordinates of all 12 atoms:
1 Pa 0.0000 0.0000 0.1725
2 Pa 0.0000 0.0000 0.8275
3 Al 0.0000 0.5000 0.0000
4 Al 0.0000 0.5000 0.3504
5 Al 0.0000 0.5000 0.6496
6 Al 0.5000 0.0000 0.0000
7 Al 0.5000 0.0000 0.3504
8 Al 0.5000 0.0000 0.6496
9 Al 0.5000 0.5000 0.1684
10 Al 0.5000 0.5000 0.5000
11 Al 0.5000 0.5000 0.8316
12 Zn 0.0000 0.0000 0.5000

Largest 10 diffraction maxima, by intensity, 2θ = 15–90°:
2theta	intensity
36.89	1000
20.87	691
30.07	570
42.48	344
21.40	331
29.68	298
74.05	263
52.92	246
62.51	202
47.78	167

No. 9
Starting from a PBE-relaxed structure, the powder XRD pattern of Li6TlAu was simulated for λ = 1.5418 Å (Cu Kα).
No peak broadening, texture or thermal motion is included.

Atomic structure:
abc: 7.1260 7.1260 11.7699
angles: 90.00 90.00 111.49
Fractional coordinates of all 32 atoms:
1 Li 0.0000 0.0000 0.0000
2 Li 0.0000 0.0000 0.5000
3 Li 0.1086 0.3658 0.1181
4 Li 0.1086 0.3658 0.8819
5 Li 0.1146 0.3597 0.3677
6 Li 0.1146 0.3597 0.6323
7 Li 0.2484 0.7516 0.2385
8 Li 0.2484 0.7516 0.7615
9 Li 0.3597 0.1146 0.3677
10 Li 0.3597 0.1146 0.6323
11 Li 0.3658 0.1086 0.1181
12 Li 0.3658 0.1086 0.8819
13 Li 0.5000 0.5000 0.0000
14 Li 0.5000 0.5000 0.5000
15 Li 0.6342 0.8914 0.1181
16 Li 0.6342 0.8914 0.8819
17 Li 0.6403 0.8854 0.3677
18 Li 0.6403 0.8854 0.6323
19 Li 0.7516 0.2484 0.2385
20 Li 0.7516 0.2484 0.7615
21 Li 0.8854 0.6403 0.3677
22 Li 0.8854 0.6403 0.6323
23 Li 0.8914 0.6342 0.1181
24 Li 0.8914 0.6342 0.8819
25 Tl 0.2550 0.7450 0.5000
26 Tl 0.5000 0.5000 0.2458
27 Tl 0.5000 0.5000 0.7542
28 Tl 0.7450 0.2550 0.5000
29 Au 0.0000 0.0000 0.2470
30 Au 0.0000 0.0000 0.7530
31 Au 0.2573 0.7427 0.0000
32 Au 0.7427 0.2573 0.0000

Largest 10 diffraction maxima, by intensity, 2θ = 15–90°:
2theta	intensity
21.34	1000
30.96	809
37.91	576
22.16	460
30.36	423
54.32	337
48.92	228
49.32	224
50.52	212
43.48	196